# 1
Tl6As3Br14: calculated powder XRD pattern (λ = 1.5418 Å (Cu Kα)), based on a cell relaxed with PBE.
Intensities are scaled so that the largest is 100.

Peak list (8 most intense, 2θ from 15° to 90°, most intense first)
2θ 21.26, rel. 100
2θ 29.02, rel. 62
2θ 26.45, rel. 53
2θ 29.44, rel. 51
2θ 31.42, rel. 45
2θ 33.09, rel. 36
2θ 34.72, rel. 34
2θ 19.23, rel. 33

Cell and atoms:
```
Tl6As3Br14
1.0
11.3877 0.0000 0.0000
-5.6939 9.8621 0.0000
0.0000 0.0000 7.8767
Tl As Br
6 3 14
direct
0.0271 0.5490 0.0000
0.2902 0.1099 0.5981
0.4510 0.4780 0.0000
0.5220 0.9729 0.0000
0.8197 0.7098 0.5981
0.8901 0.1803 0.5981
0.0000 0.0000 0.0491
0.3333 0.6667 0.4678
0.6667 0.3333 0.4000
0.0000 0.0000 0.3715
0.0904 0.8513 0.8711
0.1487 0.2391 0.8711
0.2114 0.4475 0.3257
0.2361 0.7886 0.3257
0.3333 0.6667 0.8492
0.4483 0.2075 0.2160
0.5307 0.4267 0.6129
0.5525 0.7639 0.3257
0.5733 0.1040 0.6129
0.7592 0.5517 0.2160
0.7609 0.9096 0.8711
0.7925 0.2408 0.2160
0.8960 0.4693 0.6129
```

---

# 2
Ba8GaIr2: calculated powder XRD pattern (λ = 1.5418 Å (Cu Kα)), based on a cell relaxed with PBE.
Intensities are scaled so that the largest is 100.

Peak list (8 most intense, 2θ from 15° to 90°, most intense first)
2θ 27.61, rel. 100
2θ 26.69, rel. 51
2θ 38.90, rel. 24
2θ 23.42, rel. 23
2θ 38.38, rel. 19
2θ 39.37, rel. 19
2θ 39.51, rel. 18
2θ 38.59, rel. 18

Cell and atoms:
```
Ba8GaIr2
1.0
7.8779 0.0000 0.0000
1.2250 8.0745 0.0000
2.5973 -0.3386 8.7717
Ba Ga Ir
8 1 2
direct
0.0000 0.0000 0.0000
0.0071 0.4610 0.2339
0.0160 0.4523 0.7354
0.0268 0.9236 0.4819
0.4834 0.6933 0.6002
0.5002 0.2421 0.3458
0.5097 0.6770 0.1182
0.5401 0.2057 0.8679
0.2822 0.0783 0.6720
0.2442 0.5883 0.4206
0.7695 0.3378 0.0429
```

---

# 3
Cd2Ga2Tc: calculated powder XRD pattern (λ = 1.5418 Å (Cu Kα)), based on a cell relaxed with PBE.
Intensities are scaled so that the largest is 100.

Peak list (8 most intense, 2θ from 15° to 90°, most intense first)
2θ 37.13, rel. 100
2θ 42.05, rel. 39
2θ 63.49, rel. 22
2θ 34.62, rel. 21
2θ 45.27, rel. 19
2θ 29.02, rel. 14
2θ 60.77, rel. 14
2θ 79.66, rel. 13

Cell and atoms:
```
Cd2Ga2Tc
1.0
6.7953 0.0000 0.0000
0.0000 6.7953 0.0000
0.0000 0.0000 4.0061
Cd Ga Tc
4 4 2
direct
0.1634 0.3366 0.0000
0.3366 0.8366 0.0000
0.6634 0.1634 0.0000
0.8366 0.6634 0.0000
0.1469 0.6469 0.5000
0.3531 0.1469 0.5000
0.6469 0.8531 0.5000
0.8531 0.3531 0.5000
0.0000 0.0000 0.5000
0.5000 0.5000 0.5000
```

---

# 4
Sn3Sb2Au8: calculated powder XRD pattern (λ = 1.5418 Å (Cu Kα)), based on a cell relaxed with PBE.
Intensities are scaled so that the largest is 100.

Peak list (8 most intense, 2θ from 15° to 90°, most intense first)
2θ 38.61, rel. 100
2θ 33.79, rel. 96
2θ 28.40, rel. 85
2θ 45.48, rel. 81
2θ 36.39, rel. 67
2θ 40.19, rel. 65
2θ 49.42, rel. 56
2θ 69.25, rel. 43

Cell and atoms:
```
Sn3Sb2Au8
1.0
2.7134 1.5666 12.5714
-2.7134 1.5666 12.5714
0.0000 -3.1332 12.5714
Sn Sb Au
3 2 8
direct
0.0000 0.0000 0.0000
0.2284 0.2284 0.2284
0.7716 0.7716 0.7716
0.3734 0.3734 0.3734
0.6266 0.6266 0.6266
0.2013 0.7029 0.7029
0.2971 0.2971 0.7987
0.2971 0.7987 0.2971
0.2997 0.2997 0.2997
0.7003 0.7003 0.7003
0.7029 0.2013 0.7029
0.7029 0.7029 0.2013
0.7987 0.2971 0.2971
```

---

# 5
BaNa2PaTe4: calculated powder XRD pattern (λ = 1.5418 Å (Cu Kα)), based on a cell relaxed with PBE.
Intensities are scaled so that the largest is 100.

Peak list (8 most intense, 2θ from 15° to 90°, most intense first)
2θ 27.49, rel. 100
2θ 15.04, rel. 76
2θ 37.74, rel. 69
2θ 25.35, rel. 49
2θ 39.27, rel. 39
2θ 47.32, rel. 37
2θ 31.47, rel. 26
2θ 34.78, rel. 25

Cell and atoms:
```
BaNa2PaTe4
1.0
6.4897 0.0000 0.0000
0.0000 6.4897 0.0000
0.0000 0.0000 14.0550
Ba Na Pa Te
2 4 2 8
direct
0.0000 0.0000 0.0000
0.5000 0.5000 0.5000
0.0000 0.0000 0.5000
0.0000 0.5000 0.2500
0.5000 0.0000 0.7500
0.5000 0.5000 0.0000
0.0000 0.5000 0.7500
0.5000 0.0000 0.2500
0.0000 0.0000 0.2521
0.0000 0.0000 0.7479
0.0000 0.5000 0.5357
0.0000 0.5000 0.9643
0.5000 0.0000 0.0357
0.5000 0.0000 0.4643
0.5000 0.5000 0.2479
0.5000 0.5000 0.7521
```

---

# 6
KNa3N4: calculated powder XRD pattern (λ = 1.5418 Å (Cu Kα)), based on a cell relaxed with PBE.
Intensities are scaled so that the largest is 100.

Peak list (8 most intense, 2θ from 15° to 90°, most intense first)
2θ 32.22, rel. 100
2θ 35.57, rel. 82
2θ 37.01, rel. 70
2θ 30.97, rel. 64
2θ 25.18, rel. 59
2θ 29.08, rel. 55
2θ 32.02, rel. 49
2θ 27.81, rel. 49

Cell and atoms:
```
KNa3N4
1.0
3.5561 0.0000 0.0000
-1.6865 3.5053 0.0000
-1.5361 -0.7822 14.1451
K Na N
1 3 4
direct
0.0000 0.0000 0.0000
0.2312 0.1704 0.5036
0.7728 0.7689 0.7251
0.8083 0.5093 0.2590
0.4697 0.7149 0.4081
0.4802 0.1155 0.8286
0.5681 0.9663 0.3550
0.6360 0.3906 0.8814
```